PuFeO5: calculated X-ray diffraction stick pattern (λ = 1.5418 Å (Cu Kα)), based on DFT lattice parameters and positions (PBE+U).
No peak broadening, texture or thermal motion is included.

Structural model:
a b c (Å): 5.900 10.386 7.521
angles (deg): 90.00 108.97 90.00
Space group C2/c (No. 15)
Unique sites:
Pu (0.000, 0.000, 0.000)
Fe (0.000, 0.450, 0.250)
O (0.000, 0.086, 0.250)
O (0.169, 0.430, 0.953)
O (0.195, 0.139, 0.655)

Most intense lines, 5° ≤ 2θ ≤ 70°, low angle first:
hkl 0 2 0, 17.07 deg, I = 100
hkl 1 1 0, 18.05 deg, I = 61
hkl 1 1 -2, 26.39 deg, I = 66
hkl 0 2 2, 30.43 deg, I = 38
hkl 2 0 0, 32.08 deg, I = 16
hkl 1 1 2, 35.12 deg, I = 19
hkl 1 3 -2, 36.14 deg, I = 21
hkl 2 2 0, 36.56 deg, I = 26
hkl 1 3 2, 43.14 deg, I = 28
hkl 0 2 4, 54.55 deg, I = 17